[1]
# ZnWF5
Computed X-ray diffraction stick pattern, Cu Kα (λ = 1.5418 Å). Input: a cell relaxed with GGA+U.
Kinematic intensities with the Lorentz-polarization factor, no thermal factor.

Structural model:
```
ZnWF5
1.0
4.454 -3.363 0.000
4.454 3.363 0.000
-3.468 0.000 7.092
Zn W F
2 2 10
Direct
0.003 0.997 0.750
0.997 0.003 0.250
0.500 0.500 0.000
0.500 0.500 0.500
0.181 0.793 0.049
0.198 0.279 0.362
0.207 0.819 0.451
0.279 0.198 0.862
0.377 0.623 0.750
0.623 0.377 0.250
0.721 0.802 0.138
0.793 0.181 0.549
0.802 0.721 0.638
0.819 0.207 0.951
```

The 12 most intense peaks (10° ≤ 2θ ≤ 90°), most intense first:
Position (°2θ), d [Å], I_rel
26.18, 3.404, 100
22.22, 4.001, 79
26.50, 3.363, 45
17.22, 5.149, 42
46.59, 1.950, 30
52.19, 1.753, 29
53.23, 1.721, 27
34.66, 2.588, 25
34.53, 2.598, 25
34.85, 2.575, 24
25.16, 3.540, 21
45.33, 2.001, 19

[2]
# MgCr4O12
Computed X-ray diffraction stick pattern, Cu Kα (λ = 1.5418 Å). Input: a cell relaxed with GGA+U.
Kinematic intensities with the Lorentz-polarization factor, no thermal factor.

Structural model:
```
MgCr4O12
1.0
5.521 0.000 0.000
0.000 10.668 0.000
-0.016 0.000 5.888
Mg Cr O
1 4 12
Direct
0.000 0.000 0.000
0.128 0.000 0.486
0.521 0.000 0.983
0.637 0.500 0.080
0.990 0.500 0.581
0.160 0.380 0.589
0.160 0.620 0.589
0.270 0.000 0.774
0.289 0.000 0.206
0.467 0.379 0.087
0.467 0.621 0.087
0.706 0.122 0.982
0.706 0.878 0.982
0.801 0.500 0.821
0.827 0.500 0.320
0.966 0.126 0.470
0.966 0.874 0.470
```

The 12 most intense peaks (10° ≤ 2θ ≤ 90°), most intense first:
Position (°2θ), d [Å], I_rel
16.62, 5.334, 100
22.07, 4.027, 72
27.76, 3.214, 32
29.89, 2.989, 18
44.30, 2.045, 16
30.36, 2.944, 13
18.09, 4.903, 12
23.60, 3.769, 11
31.53, 2.838, 11
56.73, 1.623, 7
50.01, 1.824, 7
34.81, 2.577, 7

[3]
# GdFe3B4O12
Computed X-ray diffraction stick pattern, Cu Kα (λ = 1.5418 Å). Input: a cell relaxed with GGA+U.
Kinematic intensities with the Lorentz-polarization factor, no thermal factor.

Structural model:
```
GdFe3B4O12
1.0
9.655 0.000 0.000
-4.828 8.362 0.000
0.000 0.000 7.682
Gd Fe B O
3 9 12 36
Direct
0.000 0.334 0.167
0.334 0.000 0.833
0.666 0.666 0.500
0.000 0.884 0.167
0.116 0.116 0.500
0.216 0.666 0.497
0.334 0.550 0.830
0.450 0.784 0.164
0.550 0.334 0.170
0.666 0.216 0.503
0.784 0.450 0.836
0.884 0.000 0.833
0.000 0.333 0.667
0.000 0.780 0.667
0.117 0.669 0.996
0.220 0.220 0.000
0.331 0.448 0.330
0.333 0.000 0.333
0.448 0.331 0.670
0.552 0.883 0.663
0.667 0.667 0.000
0.669 0.117 0.004
0.780 0.000 0.333
0.883 0.552 0.337
0.000 0.189 0.667
0.000 0.924 0.667
0.020 0.543 0.350
0.076 0.076 0.000
0.122 0.814 0.015
0.144 0.476 0.664
0.146 0.787 0.650
0.186 0.308 0.348
0.189 0.000 0.333
0.213 0.359 0.984
0.263 0.674 0.990
0.308 0.186 0.652
0.326 0.589 0.323
0.332 0.856 0.331
0.359 0.213 0.016
0.411 0.737 0.656
0.457 0.478 0.683
0.476 0.144 0.336
0.478 0.457 0.317
0.522 0.980 0.017
0.524 0.668 0.998
0.543 0.020 0.650
0.589 0.326 0.677
0.641 0.854 0.317
0.668 0.524 0.002
0.674 0.263 0.010
0.692 0.878 0.682
0.737 0.411 0.344
0.787 0.146 0.350
0.811 0.811 0.000
0.814 0.122 0.985
0.854 0.641 0.683
0.856 0.332 0.669
0.878 0.692 0.318
0.924 0.000 0.333
0.980 0.522 0.983
```

The 12 most intense peaks (10° ≤ 2θ ≤ 90°), most intense first:
Position (°2θ), d [Å], I_rel
31.63, 2.829, 100
24.24, 3.672, 81
15.66, 5.657, 30
52.07, 1.756, 29
30.59, 2.923, 27
37.25, 2.414, 25
18.38, 4.828, 25
45.70, 1.985, 21
52.43, 1.745, 20
36.83, 2.441, 18
44.94, 2.017, 17
40.64, 2.220, 14

[4]
# Mn2OF3
Computed X-ray diffraction stick pattern, Cu Kα (λ = 1.5418 Å). Input: a cell relaxed with GGA+U.
Kinematic intensities with the Lorentz-polarization factor, no thermal factor.

Structural model:
```
Mn2OF3
1.0
4.851 0.000 0.000
0.157 5.811 0.000
0.294 2.720 13.410
Mn O F
10 5 15
Direct
0.000 0.000 0.000
0.003 0.393 0.801
0.046 0.606 0.193
0.482 0.082 0.203
0.488 0.691 0.390
0.495 0.296 0.603
0.499 0.892 0.801
0.517 0.493 0.002
0.973 0.192 0.413
0.996 0.788 0.602
0.184 0.486 0.664
0.194 0.699 0.059
0.305 0.772 0.258
0.803 0.093 0.547
0.818 0.301 0.937
0.190 0.261 0.273
0.195 0.070 0.861
0.198 0.866 0.464
0.295 0.976 0.662
0.298 0.185 0.061
0.303 0.570 0.862
0.305 0.368 0.460
0.696 0.217 0.742
0.696 0.610 0.532
0.697 0.015 0.342
0.706 0.407 0.148
0.707 0.812 0.939
0.796 0.926 0.136
0.804 0.714 0.740
0.821 0.524 0.332
```

The 12 most intense peaks (10° ≤ 2θ ≤ 90°), most intense first:
Position (°2θ), d [Å], I_rel
33.42, 2.681, 100
26.43, 3.373, 97
25.59, 3.481, 97
50.32, 1.813, 63
51.25, 1.783, 44
64.57, 1.443, 22
38.07, 2.363, 21
52.58, 1.741, 20
57.23, 1.610, 20
54.40, 1.686, 16
51.32, 1.780, 15
37.12, 2.422, 14

[5]
# EuZrCrBiO6
Computed X-ray diffraction stick pattern, Cu Kα (λ = 1.5418 Å). Input: a cell relaxed with GGA+U.
Kinematic intensities with the Lorentz-polarization factor, no thermal factor.

Structural model:
```
EuZrCrBiO6
1.0
0.000 4.045 4.045
4.045 0.000 4.045
4.045 4.045 0.000
Eu Zr Cr Bi O
1 1 1 1 6
Direct
0.000 0.000 0.000
0.750 0.750 0.750
0.250 0.250 0.250
0.500 0.500 0.500
0.007 0.007 0.493
0.007 0.493 0.007
0.007 0.493 0.493
0.493 0.007 0.007
0.493 0.007 0.493
0.493 0.493 0.007
```

The 12 most intense peaks (10° ≤ 2θ ≤ 90°), most intense first:
Position (°2θ), d [Å], I_rel
31.28, 2.860, 100
55.66, 1.651, 40
44.82, 2.022, 30
65.25, 1.430, 18
74.13, 1.279, 17
38.55, 2.335, 16
21.98, 4.045, 15
50.45, 1.809, 9
82.64, 1.168, 6
78.42, 1.220, 6
69.75, 1.348, 5
19.00, 4.670, 4

[6]
# MgW2O4
Computed X-ray diffraction stick pattern, Cu Kα (λ = 1.5418 Å). Input: a cell relaxed with GGA+U.
Kinematic intensities with the Lorentz-polarization factor, no thermal factor.

Structural model:
```
MgW2O4
1.0
3.013 1.740 5.472
-3.013 1.740 5.472
0.000 -3.479 5.472
Mg W O
2 4 8
Direct
0.000 0.000 0.000
0.386 0.386 0.386
0.027 0.027 0.466
0.027 0.466 0.027
0.466 0.027 0.027
0.647 0.647 0.647
0.232 0.756 0.756
0.238 0.238 0.776
0.238 0.776 0.238
0.266 0.266 0.266
0.756 0.232 0.756
0.756 0.756 0.232
0.774 0.774 0.774
0.776 0.238 0.238
```

The 12 most intense peaks (10° ≤ 2θ ≤ 90°), most intense first:
Position (°2θ), d [Å], I_rel
34.81, 2.577, 100
20.16, 4.404, 90
33.97, 2.639, 71
27.65, 3.226, 68
16.20, 5.472, 68
57.10, 1.613, 39
52.46, 1.744, 38
36.12, 2.487, 37
40.99, 2.202, 36
55.42, 1.658, 33
32.73, 2.736, 30
61.56, 1.506, 30